AcVClO4: theoretical X-ray powder pattern (copper Kα), based on a DFT-relaxed cell (GGA+U, Alexandria).
Kinematic intensities with the Lorentz-polarization factor, no thermal factor.

Structure:
```
14
Lattice="5.3209 -3.8461 0.0000 5.3209 3.8461 0.0000 -0.4655 0.0000 6.7755" Properties=species:S:1:pos:R:3 pbc="T T T"
Ac 2.1871 0.0000 0.8332
Ac 7.9891 0.0000 5.9423
V 3.7999 0.0000 4.9050
V 6.3763 0.0000 1.8705
Cl 0.1508 0.0000 5.0907
Cl 10.0254 0.0000 1.6848
O 3.1259 1.3386 5.7780
O 3.2996 0.0000 3.2212
O 4.6292 0.0000 1.7324
O 7.0503 1.3386 0.9975
O 3.1259 -1.3386 5.7780
O 5.5470 0.0000 5.0431
O 6.8766 0.0000 3.5543
O 7.0503 -1.3386 0.9975
```

Main lines, sorted by position (10° ≤ 2θ ≤ 80°):
2θ/deg	d [Å]	I_rel
13.07	6.775	79
16.70	5.308	55
18.96	4.680	67
21.97	4.046	69
23.13	3.846	100
30.01	2.977	82